1.
Calculated powder X-ray diffraction pattern of CsRbCuP for Cu Kα (λ = 1.5418 Å), from a cell relaxed with PBE.

Most intense lines, 2θ from 10° to 80°, by angle:
2θ = 27.58°, rel. 83; 2θ = 27.72°, rel. 72; 2θ = 31.36°, rel. 100; 2θ = 32.43°, rel. 60; 2θ = 33.60°, rel. 26; 2θ = 53.47°, rel. 49

Crystal structure
```
CsRbCuP
1.0
6.163 0.000 0.000
0.000 3.800 5.329
0.000 -3.800 5.329
Cs Rb Cu P
2 2 2 2
direct
0.250 0.147 0.853
0.750 0.853 0.147
0.250 0.809 0.516
0.750 0.516 0.809
0.000 0.329 0.329
0.500 0.329 0.329
0.250 0.551 0.118
0.750 0.118 0.551
```



2.
Calculated powder X-ray diffraction pattern of SmDyIn2Pt4 for Cu Kα (λ = 1.5418 Å), from a cell relaxed with PBE.

Most intense lines, 2θ from 10° to 80°, by angle:
2θ = 22.31°, rel. 20; 2θ = 37.23°, rel. 100; 2θ = 39.15°, rel. 87; 2θ = 55.13°, rel. 33; 2θ = 69.69°, rel. 33; 2θ = 70.95°, rel. 15

Crystal structure
```
SmDyIn2Pt4
1.0
4.602 0.000 0.000
-2.301 3.985 0.000
0.000 0.000 9.107
Sm Dy In Pt
1 1 2 4
direct
0.000 0.000 0.000
0.667 0.333 0.500
0.333 0.667 0.253
0.333 0.667 0.747
0.000 0.000 0.343
0.000 0.000 0.657
0.667 0.333 0.162
0.667 0.333 0.838
```



3.
Calculated powder X-ray diffraction pattern of CsKZnSn for Cu Kα (λ = 1.5418 Å), from a cell relaxed with PBE.

Most intense lines, 2θ from 10° to 80°, by angle:
2θ = 15.44°, rel. 26; 2θ = 25.05°, rel. 31; 2θ = 25.63°, rel. 29; 2θ = 28.80°, rel. 100; 2θ = 33.91°, rel. 32; 2θ = 47.65°, rel. 25

Crystal structure
```
CsKZnSn
1.0
6.850 0.000 0.000
0.000 4.157 5.740
0.000 -4.157 5.740
Cs K Zn Sn
2 2 2 2
direct
0.250 0.160 0.840
0.750 0.840 0.160
0.250 0.491 0.180
0.750 0.180 0.491
0.000 0.677 0.677
0.500 0.677 0.677
0.250 0.900 0.421
0.750 0.421 0.900
```



4.
Calculated powder X-ray diffraction pattern of Zr2GaP3O12 for Cu Kα (λ = 1.5418 Å), from a cell relaxed with PBE.

Most intense lines, 2θ from 10° to 80°, by angle:
2θ = 20.25°, rel. 99; 2θ = 23.17°, rel. 56; 2θ = 30.38°, rel. 100; 2θ = 35.45°, rel. 36; 2θ = 47.37°, rel. 34; 2θ = 55.42°, rel. 30

Crystal structure
```
Zr2GaP3O12
1.0
4.385 2.532 7.935
-4.385 2.532 7.935
0.000 -5.064 7.935
Zr Ga P O
4 2 6 24
direct
0.149 0.149 0.149
0.351 0.351 0.351
0.649 0.649 0.649
0.851 0.851 0.851
0.000 0.000 0.000
0.500 0.500 0.500
0.039 0.750 0.461
0.250 0.539 0.961
0.461 0.039 0.750
0.539 0.961 0.250
0.750 0.461 0.039
0.961 0.250 0.539
0.013 0.764 0.630
0.069 0.922 0.289
0.078 0.711 0.931
0.130 0.264 0.513
0.211 0.578 0.431
0.236 0.370 0.987
0.264 0.513 0.130
0.289 0.069 0.922
0.370 0.987 0.236
0.422 0.569 0.789
0.431 0.211 0.578
0.487 0.870 0.736
0.513 0.130 0.264
0.569 0.789 0.422
0.578 0.431 0.211
0.630 0.013 0.764
0.711 0.931 0.078
0.736 0.487 0.870
0.764 0.630 0.013
0.789 0.422 0.569
0.870 0.736 0.487
0.922 0.289 0.069
0.931 0.078 0.711
0.987 0.236 0.370
```



5.
Calculated powder X-ray diffraction pattern of Ga2Re3 for Cu Kα (λ = 1.5418 Å), from a cell relaxed with PBE.

Most intense lines, 2θ from 10° to 80°, by angle:
2θ = 15.96°, rel. 51; 2θ = 38.07°, rel. 47; 2θ = 40.44°, rel. 70; 2θ = 41.77°, rel. 88; 2θ = 42.18°, rel. 100; 2θ = 44.83°, rel. 71

Crystal structure
```
Ga2Re3
1.0
5.766 -2.442 0.000
5.766 2.442 0.000
-1.469 0.000 5.247
Ga Re
4 6
direct
0.092 0.908 0.500
0.511 0.701 0.206
0.701 0.511 0.706
0.908 0.092 0.000
0.115 0.297 0.402
0.297 0.115 0.902
0.311 0.490 0.802
0.490 0.311 0.302
0.712 0.894 0.603
0.894 0.712 0.103
```



6.
Calculated powder X-ray diffraction pattern of Li2Zn3InAu2 for Cu Kα (λ = 1.5418 Å), from a cell relaxed with PBE.

Most intense lines, 2θ from 10° to 80°, by angle:
2θ = 24.26°, rel. 100; 2θ = 40.01°, rel. 99; 2θ = 40.37°, rel. 49; 2θ = 47.65°, rel. 34; 2θ = 58.42°, rel. 16; 2θ = 73.16°, rel. 33

Crystal structure
```
Li2Zn3InAu2
1.0
4.468 0.000 0.000
0.000 4.468 0.000
0.000 0.000 6.430
Li Zn In Au
2 3 1 2
direct
0.000 0.500 0.230
0.500 0.000 0.770
0.000 0.000 0.000
0.500 0.500 0.000
0.500 0.500 0.500
0.000 0.000 0.500
0.000 0.500 0.766
0.500 0.000 0.234
```



7.
Calculated powder X-ray diffraction pattern of Nd2SiO4 for Cu Kα (λ = 1.5418 Å), from a cell relaxed with PBE.

Most intense lines, 2θ from 10° to 80°, by angle:
2θ = 28.58°, rel. 35; 2θ = 30.99°, rel. 100; 2θ = 31.19°, rel. 51; 2θ = 31.92°, rel. 43; 2θ = 33.65°, rel. 26; 2θ = 52.17°, rel. 26

Crystal structure
```
Nd2SiO4
1.0
5.763 0.000 0.000
0.000 6.965 0.000
-4.846 0.000 9.487
Nd Si O
8 4 16
direct
0.008 0.011 0.206
0.008 0.489 0.706
0.325 0.648 0.068
0.325 0.852 0.568
0.675 0.148 0.432
0.675 0.352 0.932
0.992 0.511 0.294
0.992 0.989 0.794
0.357 0.195 0.118
0.357 0.305 0.618
0.643 0.695 0.382
0.643 0.805 0.882
0.128 0.140 0.630
0.128 0.360 0.130
0.256 0.524 0.539
0.256 0.976 0.039
0.275 0.185 0.445
0.275 0.315 0.945
0.318 0.742 0.820
0.318 0.758 0.320
0.682 0.242 0.680
0.682 0.258 0.180
0.725 0.685 0.055
0.725 0.815 0.555
0.744 0.024 0.961
0.744 0.476 0.461
0.872 0.640 0.870
0.872 0.860 0.370
```



8.
Calculated powder X-ray diffraction pattern of Na3Zr2O6 for Cu Kα (λ = 1.5418 Å), from a cell relaxed with PBE.

Most intense lines, 2θ from 10° to 80°, by angle:
2θ = 16.42°, rel. 69; 2θ = 19.03°, rel. 61; 2θ = 21.08°, rel. 53; 2θ = 33.67°, rel. 56; 2θ = 38.49°, rel. 53; 2θ = 39.16°, rel. 100

Crystal structure
```
Na3Zr2O6
1.0
2.830 -4.863 0.000
2.830 4.863 0.000
-1.981 0.000 5.398
Na Zr O
3 2 6
direct
0.000 0.000 0.000
0.353 0.647 0.000
0.647 0.353 0.000
0.167 0.833 0.500
0.833 0.167 0.500
0.035 0.421 0.278
0.193 0.193 0.723
0.421 0.035 0.278
0.579 0.965 0.722
0.807 0.807 0.277
0.965 0.579 0.722
```